For PrGePtRh, a crystal structure in Alexandria, relaxed with GGA-PBE gives the computed X-ray diffraction stick pattern in this record (a wavelength of 1.5418 Å).
No peak broadening, texture or thermal motion is included.

Structural model:
```
data_PrGePtRh
_cell_length_a 5.9085
_cell_length_b 5.9085
_cell_length_c 5.9085
_cell_angle_alpha 139.64
_cell_angle_beta 138.48
_cell_angle_gamma 59.28
_space_group_name_H-M_alt 'P 1'
_space_group_IT_number 1
_space_group_name_Hall 'P 1'
loop_
_atom_site_label
_atom_site_type_symbol
_atom_site_fract_x
_atom_site_fract_y
_atom_site_fract_z
_atom_site_occupancy
Pr1 Pr 0.0000 0.0000 0.0000 1
Ge1 Ge 0.7478 0.2478 0.5000 1
Pt1 Pt 0.3693 0.3693 0.0000 1
Rh1 Rh 0.6266 0.6266 0.0000 1
```

Peak list (10 most intense, 15° ≤ 2θ ≤ 90°, sorted by position)
| 2θ/deg | d (Å) | intensity |
| --- | --- | --- |
| 23.48 | 3.789 | 33.9 |
| 30.60 | 2.921 | 100.0 |
| 33.82 | 2.651 | 88.8 |
| 34.20 | 2.622 | 75.5 |
| 35.35 | 2.539 | 49.8 |
| 43.20 | 2.094 | 39.1 |
| 44.45 | 2.038 | 36.0 |
| 49.72 | 1.834 | 30.4 |
| 56.22 | 1.636 | 36.4 |
| 57.00 | 1.616 | 40.0 |

For Pr2SiGePt6, a crystal structure in Alexandria, relaxed with GGA-PBE gives the computed X-ray diffraction stick pattern in this record (a wavelength of 1.5418 Å).
No peak broadening, texture or thermal motion is included.

Structural model:
```
data_Pr2SiGePt6
_cell_length_a 5.5938
_cell_length_b 8.6330
_cell_length_c 8.3376
_cell_angle_alpha 90.00
_cell_angle_beta 90.00
_cell_angle_gamma 90.00
_space_group_name_H-M_alt 'P 1'
_space_group_IT_number 1
_space_group_name_Hall 'P 1'
loop_
_atom_site_label
_atom_site_type_symbol
_atom_site_fract_x
_atom_site_fract_y
_atom_site_fract_z
_atom_site_occupancy
Pr1 Pr 0.2500 0.0023 0.2282 1
Pr2 Pr 0.2500 0.4977 0.2282 1
Pr3 Pr 0.7500 0.5023 0.7718 1
Pr4 Pr 0.7500 0.9977 0.7718 1
Si1 Si 0.2500 0.2500 0.7517 1
Si2 Si 0.7500 0.7500 0.2483 1
Ge1 Ge 0.2500 0.7500 0.7677 1
Ge2 Ge 0.7500 0.2500 0.2323 1
Pt1 Pt 0.0006 0.7500 0.4973 1
Pt2 Pt 0.0017 0.2500 0.9854 1
Pt3 Pt 0.2500 0.0002 0.6142 1
Pt4 Pt 0.2500 0.4998 0.6142 1
Pt5 Pt 0.4983 0.2500 0.9854 1
Pt6 Pt 0.4994 0.7500 0.4973 1
Pt7 Pt 0.5006 0.2500 0.5027 1
Pt8 Pt 0.5017 0.7500 0.0146 1
Pt9 Pt 0.7500 0.9998 0.3858 1
Pt10 Pt 0.7500 0.5002 0.3858 1
Pt11 Pt 0.9983 0.7500 0.0146 1
Pt12 Pt 0.9994 0.2500 0.5027 1
```

Peak list (10 most intense, 15° ≤ 2θ ≤ 90°, sorted by position)
| 2θ/deg | d (Å) | intensity |
| --- | --- | --- |
| 26.67 | 3.343 | 28.0 |
| 29.79 | 2.999 | 85.1 |
| 33.92 | 2.643 | 35.5 |
| 38.35 | 2.347 | 100.0 |
| 38.77 | 2.323 | 64.4 |
| 41.87 | 2.157 | 93.1 |
| 44.29 | 2.045 | 31.2 |
| 48.50 | 1.877 | 27.2 |
| 58.35 | 1.581 | 46.9 |
| 71.35 | 1.322 | 24.4 |

For PrSmGePt, a crystal structure in Alexandria, relaxed with GGA-PBE gives the computed X-ray diffraction stick pattern in this record (a wavelength of 1.5418 Å).
No peak broadening, texture or thermal motion is included.

Structural model:
```
data_PrSmGePt
_cell_length_a 4.3197
_cell_length_b 5.9804
_cell_length_c 5.9804
_cell_angle_alpha 40.26
_cell_angle_beta 90.00
_cell_angle_gamma 90.00
_space_group_name_H-M_alt 'P 1'
_space_group_IT_number 1
_space_group_name_Hall 'P 1'
loop_
_atom_site_label
_atom_site_type_symbol
_atom_site_fract_x
_atom_site_fract_y
_atom_site_fract_z
_atom_site_occupancy
Pr1 Pr 0.0000 0.0000 0.0000 1
Sm1 Sm 0.5000 0.7232 0.7232 1
Ge1 Ge 0.5000 0.4349 0.4349 1
Pt1 Pt 0.0000 0.2745 0.2745 1
```

Peak list (10 most intense, 15° ≤ 2θ ≤ 90°, sorted by position)
| 2θ/deg | d (Å) | intensity |
| --- | --- | --- |
| 15.78 | 5.615 | 18.9 |
| 31.05 | 2.880 | 100.0 |
| 31.87 | 2.808 | 29.3 |
| 32.33 | 2.769 | 25.0 |
| 38.23 | 2.354 | 23.6 |
| 38.62 | 2.331 | 69.9 |
| 41.82 | 2.160 | 25.4 |
| 44.00 | 2.058 | 22.0 |
| 62.32 | 1.490 | 15.6 |
| 77.69 | 1.229 | 14.4 |